No. 1
Structure and simulated PXRD pattern of Pr3Ir (a crystal structure in Alexandria, relaxed with PBE; copper Kα).
Lines closer than 0.1° are merged.

Top 8 peaks for 10 to 90 degrees two-theta, in order of rising 2θ:
2theta, d_spacing, I_rel
28.97, 3.082, 38
29.98, 2.981, 100
30.96, 2.889, 100
32.39, 2.764, 75
32.93, 2.720, 75
34.72, 2.584, 40
36.17, 2.483, 52
55.06, 1.668, 48

Structure:
Cell: 7.4370 10.0084 6.6020 Å, 90.00 90.00 90.00°
Fractional coordinates of all 16 atoms:
Pr  0.0365  0.2500  0.1458
Pr  0.1747  0.0666  0.6713
Pr  0.1747  0.4334  0.6713
Pr  0.3253  0.5666  0.1713
Pr  0.3253  0.9334  0.1713
Pr  0.4635  0.7500  0.6458
Pr  0.5365  0.2500  0.3542
Pr  0.6747  0.0666  0.8287
Pr  0.6747  0.4334  0.8287
Pr  0.8253  0.5666  0.3287
Pr  0.8253  0.9334  0.3287
Pr  0.9635  0.7500  0.8542
Ir  0.1204  0.7500  0.4370
Ir  0.3796  0.2500  0.9370
Ir  0.6204  0.7500  0.0630
Ir  0.8796  0.2500  0.5630

---

No. 2
Structure and simulated PXRD pattern of Ba3In2Cu2Pd4 (a crystal structure in Alexandria, relaxed with PBE; copper Kα).
Lines closer than 0.1° are merged.

Top 8 peaks for 10 to 90 degrees two-theta, in order of rising 2θ:
2theta, d_spacing, I_rel
25.07, 3.551, 24
27.81, 3.208, 41
31.28, 2.860, 100
39.79, 2.265, 87
51.46, 1.776, 24
55.96, 1.643, 33
66.96, 1.397, 22
72.22, 1.308, 19

Structure:
Cell: 4.5305 4.5305 16.7080 Å, 90.00 90.00 120.00°
Fractional coordinates of all 11 atoms:
Ba  0.0000  0.0000  0.0000
Ba  0.0000  0.0000  0.2654
Ba  0.0000  0.0000  0.7346
In  0.3333  0.6667  0.5627
In  0.6667  0.3333  0.4373
Cu  0.3333  0.6667  0.1345
Cu  0.6667  0.3333  0.8655
Pd  0.3333  0.6667  0.3957
Pd  0.3333  0.6667  0.8657
Pd  0.6667  0.3333  0.1343
Pd  0.6667  0.3333  0.6043

---

No. 3
Structure and simulated PXRD pattern of Ac6Nd3Y2 (a crystal structure in Alexandria, relaxed with PBE; copper Kα).
Lines closer than 0.1° are merged.

Top 8 peaks for 10 to 90 degrees two-theta, in order of rising 2θ:
2theta, d_spacing, I_rel
28.47, 3.135, 98
28.54, 3.127, 97
33.03, 2.712, 100
47.34, 1.920, 37
47.48, 1.915, 37
56.16, 1.638, 30
56.29, 1.634, 51
78.82, 1.214, 14

Structure:
Cell: 6.6381 8.5616 8.5787 Å, 107.21 97.46 104.90°
Fractional coordinates of all 11 atoms:
Ac  0.0529  0.1808  0.4045
Ac  0.1362  0.5488  0.2322
Ac  0.3221  0.2669  0.8691
Ac  0.6779  0.7331  0.1309
Ac  0.8638  0.4512  0.7678
Ac  0.9471  0.8192  0.5955
Nd  0.4072  0.6427  0.6843
Nd  0.5000  0.0000  0.5000
Nd  0.5928  0.3573  0.3157
Y  0.2322  0.9135  0.0466
Y  0.7678  0.0865  0.9534

---

No. 4
Structure and simulated PXRD pattern of DyFe10Si2 (a crystal structure in Alexandria, relaxed with PBE; copper Kα).
Lines closer than 0.1° are merged.

Top 8 peaks for 10 to 90 degrees two-theta, in order of rising 2θ:
2theta, d_spacing, I_rel
30.52, 2.929, 24
37.64, 2.389, 29
37.97, 2.370, 49
40.41, 2.232, 46
43.53, 2.079, 36
43.69, 2.072, 33
43.87, 2.064, 53
43.98, 2.059, 100

Structure:
Cell: 6.3348 6.3348 8.1871 Å, 90.00 90.00 97.94°
Fractional coordinates of all 26 atoms:
Dy  0.1246  0.8754  0.7500
Dy  0.8754  0.1246  0.2500
Fe  0.1308  0.3858  0.7500
Fe  0.1587  0.8413  0.1009
Fe  0.1587  0.8413  0.3991
Fe  0.2285  0.2285  0.0000
Fe  0.2285  0.2285  0.5000
Fe  0.2395  0.4807  0.2500
Fe  0.3858  0.1308  0.2500
Fe  0.3929  0.6071  0.5750
Fe  0.3929  0.6071  0.9250
Fe  0.4807  0.2395  0.7500
Fe  0.5193  0.7605  0.2500
Fe  0.6071  0.3929  0.0750
Fe  0.6071  0.3929  0.4250
Fe  0.6142  0.8692  0.7500
Fe  0.7605  0.5193  0.7500
Fe  0.7715  0.7715  0.0000
Fe  0.7715  0.7715  0.5000
Fe  0.8413  0.1587  0.6009
Fe  0.8413  0.1587  0.8991
Fe  0.8692  0.6142  0.2500
Si  0.0000  0.5000  0.0000
Si  0.0000  0.5000  0.5000
Si  0.5000  0.0000  0.0000
Si  0.5000  0.0000  0.5000

---

No. 5
Structure and simulated PXRD pattern of Tl3Mo (a crystal structure in Alexandria, relaxed with PBE; copper Kα).
Lines closer than 0.1° are merged.

Top 8 peaks for 10 to 90 degrees two-theta, in order of rising 2θ:
2theta, d_spacing, I_rel
33.57, 2.669, 76
34.72, 2.584, 21
34.86, 2.574, 30
35.10, 2.556, 52
35.33, 2.540, 100
38.37, 2.346, 33
52.97, 1.729, 26
63.14, 1.473, 22

Structure:
Cell: 3.1761 5.1128 5.9412 Å, 90.00 99.79 90.00°
Fractional coordinates of all 4 atoms:
Tl  0.0000  0.0000  0.0000
Tl  0.3643  0.5000  0.7318
Tl  0.6357  0.5000  0.2682
Mo  0.0000  0.0000  0.5000

---

No. 6
Structure and simulated PXRD pattern of ScPtCS2 (a crystal structure in Alexandria, relaxed with PBE; copper Kα).
Lines closer than 0.1° are merged.

Top 8 peaks for 10 to 90 degrees two-theta, in order of rising 2θ:
2theta, d_spacing, I_rel
18.35, 4.835, 46
26.06, 3.419, 38
28.10, 3.176, 100
33.77, 2.655, 61
37.19, 2.418, 46
47.25, 1.924, 49
58.09, 1.588, 24
64.87, 1.437, 18

Structure:
Cell: 4.8353 4.8353 4.2117 Å, 90.00 90.00 90.00°
Fractional coordinates of all 5 atoms:
Sc  0.0000  0.0000  0.0000
Pt  0.5000  0.5000  0.5000
C  0.0000  0.0000  0.5000
S  0.0000  0.5000  0.0000
S  0.5000  0.0000  0.0000